1.
Ta2Nb4Zn3C3: theoretical X-ray powder pattern (a wavelength of 1.5418 Å), based on DFT lattice parameters and positions (PBE).

a = 5.4436 Å, b = 5.4436 Å, c = 14.0770 Å
α = 101.18°, β = 101.18°, γ = 60.02°
Fractional positions:
1 Ta 0.0288 0.8605 0.5867
2 Ta 0.1395 0.9712 0.9133
3 Ta 0.8605 0.0288 0.0867
4 Ta 0.9712 0.1395 0.4133
5 Nb 0.1964 0.3648 0.0893
6 Nb 0.3057 0.4682 0.4108
7 Nb 0.3648 0.1964 0.5893
8 Nb 0.4682 0.3057 0.9108
9 Nb 0.5318 0.6943 0.0892
10 Nb 0.6352 0.8036 0.4107
11 Nb 0.6943 0.5318 0.5892
12 Nb 0.8036 0.6352 0.9107
13 Zn 0.0822 0.2360 0.7496
14 Zn 0.2360 0.0822 0.2496
15 Zn 0.4012 0.5988 0.7500
16 Zn 0.5988 0.4012 0.2500
17 Zn 0.7640 0.9178 0.7504
18 Zn 0.9178 0.7640 0.2504
19 C 0.0000 0.5000 0.5000
20 C 0.1651 0.6699 0.0000
21 C 0.3301 0.8349 0.5000
22 C 0.5000 0.0000 0.0000
23 C 0.6699 0.1651 0.5000
24 C 0.8349 0.3301 0.0000

Main lines, sorted by position (2θ from 15° to 90°):
18.9°, rel. 6
32.9°, rel. 22
33.6°, rel. 5
38.5°, rel. 100
39.4°, rel. 19
52.2°, rel. 15
58.8°, rel. 20
70.8°, rel. 15
72.5°, rel. 15
73.1°, rel. 18



2.
ReSeS: theoretical X-ray powder pattern (a wavelength of 1.5418 Å), based on DFT lattice parameters and positions (PBE).

a = 6.5232 Å, b = 6.6270 Å, c = 6.8689 Å
α = 91.91°, β = 104.35°, γ = 118.71°
Fractional positions:
1 Re 0.0131 0.2138 0.0029
2 Re 0.4381 0.1845 0.0084
3 Re 0.5619 0.8155 0.9916
4 Re 0.9869 0.7862 0.9971
5 Se 0.2200 0.8395 0.7353
6 Se 0.2759 0.3902 0.7726
7 Se 0.7241 0.6098 0.2274
8 Se 0.7800 0.1605 0.2647
9 S 0.2402 0.1111 0.2632
10 S 0.2480 0.6334 0.1702
11 S 0.7520 0.3666 0.8298
12 S 0.7598 0.8889 0.7368

Main lines, sorted by position (2θ from 15° to 90°):
31.3°, rel. 26
31.5°, rel. 22
31.9°, rel. 25
36.0°, rel. 48
36.5°, rel. 100
39.4°, rel. 29
44.7°, rel. 18
47.7°, rel. 29
49.4°, rel. 23
49.5°, rel. 19



3.
NdGdFe2Ge4: theoretical X-ray powder pattern (a wavelength of 1.5418 Å), based on DFT lattice parameters and positions (PBE).

a = 4.2271 Å, b = 4.2286 Å, c = 16.7204 Å
α = 90.00°, β = 90.00°, γ = 90.00°
Fractional positions:
1 Nd 0.0000 0.0000 0.0000
2 Nd 0.0000 0.5000 0.5000
3 Gd 0.5000 0.0000 0.7826
4 Gd 0.5000 0.5000 0.2826
5 Fe 0.0000 0.0000 0.2102
6 Fe 0.0000 0.5000 0.7102
7 Fe 0.5000 0.0000 0.5743
8 Fe 0.5000 0.5000 0.0743
9 Ge 0.0000 0.0000 0.3460
10 Ge 0.0000 0.0000 0.6426
11 Ge 0.0000 0.5000 0.1426
12 Ge 0.0000 0.5000 0.8460
13 Ge 0.5000 0.0000 0.1432
14 Ge 0.5000 0.0000 0.4366
15 Ge 0.5000 0.5000 0.6432
16 Ge 0.5000 0.5000 0.9366

Main lines, sorted by position (2θ from 15° to 90°):
30.4°, rel. 20
34.0°, rel. 100
34.2°, rel. 34
38.7°, rel. 30
42.8°, rel. 55
53.9°, rel. 13
55.9°, rel. 16
59.0°, rel. 17
62.1°, rel. 18
72.7°, rel. 25



4.
YEr2Tm2Lu2Ni2Te2: theoretical X-ray powder pattern (a wavelength of 1.5418 Å), based on DFT lattice parameters and positions (PBE).

a = 9.2580 Å, b = 9.2580 Å, c = 9.2580 Å
α = 156.17°, β = 67.00°, γ = 118.42°
Fractional positions:
1 Y 0.0000 0.0000 0.0000
2 Er 0.3070 0.6213 0.6857
3 Er 0.9357 0.6213 0.3143
4 Tm 0.2856 0.4186 0.8671
5 Tm 0.5515 0.4186 0.1329
6 Lu 0.6227 0.2703 0.3524
7 Lu 0.9179 0.2703 0.6476
8 Ni 0.1656 0.9277 0.2380
9 Ni 0.6897 0.9277 0.7620
10 Te 0.2665 0.7665 0.5000
11 Te 0.6638 0.6638 0.0000

Main lines, sorted by position (2θ from 15° to 90°):
25.1°, rel. 25
29.1°, rel. 18
30.6°, rel. 43
33.3°, rel. 82
34.3°, rel. 100
34.8°, rel. 81
36.9°, rel. 19
38.8°, rel. 21
47.6°, rel. 29
59.3°, rel. 31



5.
RbTlPtO: theoretical X-ray powder pattern (a wavelength of 1.5418 Å), based on DFT lattice parameters and positions (PBE).

a = 5.5918 Å, b = 15.9169 Å, c = 5.4033 Å
α = 90.00°, β = 90.00°, γ = 90.00°
Fractional positions:
1 Rb 0.0000 0.1038 0.0000
2 Rb 0.0000 0.8962 0.5000
3 Rb 0.5000 0.3962 0.5000
4 Rb 0.5000 0.6038 0.0000
5 Tl 0.0000 0.3401 0.9961
6 Tl 0.0000 0.6599 0.4961
7 Tl 0.5000 0.1599 0.4961
8 Tl 0.5000 0.8401 0.9961
9 Pt 0.0000 0.4969 0.7247
10 Pt 0.0000 0.5031 0.2247
11 Pt 0.5000 0.0031 0.2247
12 Pt 0.5000 0.9969 0.7247
13 O 0.0000 0.4027 0.4653
14 O 0.0000 0.5973 0.9653
15 O 0.5000 0.0973 0.9653
16 O 0.5000 0.9027 0.4653

Main lines, sorted by position (2θ from 15° to 90°):
16.8°, rel. 100
23.6°, rel. 68
27.8°, rel. 23
32.0°, rel. 44
32.4°, rel. 36
36.5°, rel. 21
40.4°, rel. 31
40.8°, rel. 48
42.9°, rel. 33
52.4°, rel. 29



6.
TaNbSi2Sb2: theoretical X-ray powder pattern (a wavelength of 1.5418 Å), based on DFT lattice parameters and positions (PBE).

a = 3.6687 Å, b = 3.6687 Å, c = 8.2271 Å
α = 90.00°, β = 90.00°, γ = 90.00°
Fractional positions:
1 Ta 0.0000 0.0000 0.0000
2 Nb 0.5000 0.5000 0.4769
3 Si 0.0000 0.5000 0.2376
4 Si 0.5000 0.0000 0.2376
5 Sb 0.0000 0.0000 0.6216
6 Sb 0.5000 0.5000 0.8542

Main lines, sorted by position (2θ from 15° to 90°):
21.6°, rel. 15
32.7°, rel. 56
34.6°, rel. 55
36.3°, rel. 25
41.1°, rel. 100
49.7°, rel. 31
60.8°, rel. 20
61.8°, rel. 14
66.4°, rel. 34
87.3°, rel. 15



7.
NaTbPO: theoretical X-ray powder pattern (a wavelength of 1.5418 Å), based on DFT lattice parameters and positions (PBE).

a = 3.8710 Å, b = 3.8710 Å, c = 10.0933 Å
α = 90.00°, β = 90.00°, γ = 90.00°
Fractional positions:
1 Na 0.2500 0.7500 0.0000
2 Na 0.7500 0.2500 0.0000
3 Tb 0.2500 0.2500 0.3875
4 Tb 0.7500 0.7500 0.6125
5 P 0.2500 0.2500 0.7926
6 P 0.7500 0.7500 0.2074
7 O 0.2500 0.7500 0.5000
8 O 0.7500 0.2500 0.5000

Main lines, sorted by position (2θ from 15° to 90°):
24.6°, rel. 26
29.1°, rel. 100
32.7°, rel. 27
33.9°, rel. 32
35.3°, rel. 49
46.9°, rel. 23
49.1°, rel. 24
56.2°, rel. 31
56.7°, rel. 14
60.1°, rel. 21



8.
Nd3MgCd2AgIr2: theoretical X-ray powder pattern (a wavelength of 1.5418 Å), based on DFT lattice parameters and positions (PBE).

a = 4.0384 Å, b = 7.7218 Å, c = 7.7218 Å
α = 120.62°, β = 90.00°, γ = 90.00°
Fractional positions:
1 Nd 0.0000 0.0000 0.0000
2 Nd 0.0000 0.1659 0.5888
3 Nd 0.0000 0.5888 0.1659
4 Mg 0.5000 0.3287 0.3287
5 Cd 0.5000 0.5846 0.8398
6 Cd 0.5000 0.8398 0.5846
7 Ag 0.0000 0.5754 0.5754
8 Ir 0.5000 0.2570 0.9315
9 Ir 0.5000 0.9315 0.2570

Main lines, sorted by position (2θ from 15° to 90°):
32.1°, rel. 85
32.2°, rel. 83
34.8°, rel. 100
35.0°, rel. 99
35.6°, rel. 35
40.7°, rel. 51
42.5°, rel. 23
44.9°, rel. 48
62.2°, rel. 29
65.1°, rel. 22



9.
RbSnAu3O4: theoretical X-ray powder pattern (a wavelength of 1.5418 Å), based on DFT lattice parameters and positions (PBE).

a = 5.8209 Å, b = 5.8209 Å, c = 5.8209 Å
α = 90.00°, β = 90.00°, γ = 90.00°
Fractional positions:
1 Rb 0.0000 0.0000 0.0000
2 Sn 0.5000 0.5000 0.5000
3 Au 0.0000 0.5000 0.5000
4 Au 0.5000 0.0000 0.5000
5 Au 0.5000 0.5000 0.0000
6 O 0.2992 0.2992 0.2992
7 O 0.2992 0.7008 0.7008
8 O 0.7008 0.2992 0.7008
9 O 0.7008 0.7008 0.2992

Main lines, sorted by position (2θ from 15° to 90°):
15.2°, rel. 55
26.5°, rel. 100
30.7°, rel. 92
34.5°, rel. 23
44.0°, rel. 89
52.1°, rel. 49
54.6°, rel. 27
70.5°, rel. 19
72.6°, rel. 36
80.9°, rel. 29



10.
SmBPb: theoretical X-ray powder pattern (a wavelength of 1.5418 Å), based on DFT lattice parameters and positions (PBE).

a = 6.8237 Å, b = 6.8237 Å, c = 6.8237 Å
α = 90.00°, β = 90.00°, γ = 90.00°
Fractional positions:
1 Sm 0.0000 0.0000 0.0000
2 Sm 0.0000 0.5000 0.5000
3 Sm 0.5000 0.0000 0.5000
4 Sm 0.5000 0.5000 0.0000
5 B 0.2500 0.2500 0.7500
6 B 0.2500 0.7500 0.2500
7 B 0.7500 0.2500 0.2500
8 B 0.7500 0.7500 0.7500
9 Pb 0.2500 0.2500 0.2500
10 Pb 0.2500 0.7500 0.7500
11 Pb 0.7500 0.2500 0.7500
12 Pb 0.7500 0.7500 0.2500

Main lines, sorted by position (2θ from 15° to 90°):
22.6°, rel. 100
26.1°, rel. 3
37.3°, rel. 92
44.0°, rel. 54
53.7°, rel. 16
59.0°, rel. 23
67.2°, rel. 33
71.9°, rel. 17
79.4°, rel. 11
83.9°, rel. 18



11.
Ba4Pt: theoretical X-ray powder pattern (a wavelength of 1.5418 Å), based on DFT lattice parameters and positions (PBE).

a = 8.7777 Å, b = 8.7777 Å, c = 10.6927 Å
α = 126.02°, β = 126.02°, γ = 63.73°
Fractional positions:
1 Ba 0.0302 0.0302 0.3314
2 Ba 0.0349 0.5341 0.8185
3 Ba 0.4659 0.9651 0.1815
4 Ba 0.4700 0.4700 0.6681
5 Ba 0.5300 0.5300 0.3319
6 Ba 0.5341 0.0349 0.8185
7 Ba 0.9651 0.4659 0.1815
8 Ba 0.9698 0.9698 0.6686
9 Pt 0.2496 0.7504 0.5000
10 Pt 0.7504 0.2496 0.5000

Main lines, sorted by position (2θ from 15° to 90°):
25.4°, rel. 100
25.9°, rel. 34
33.0°, rel. 24
33.3°, rel. 15
38.9°, rel. 23
40.1°, rel. 30
42.9°, rel. 25
47.3°, rel. 19
48.9°, rel. 15
64.1°, rel. 14



12.
Ba5Pd4: theoretical X-ray powder pattern (a wavelength of 1.5418 Å), based on DFT lattice parameters and positions (PBE).

a = 8.6160 Å, b = 8.6160 Å, c = 16.0797 Å
α = 90.00°, β = 90.00°, γ = 90.00°
Fractional positions:
1 Ba 0.0022 0.3593 0.0421
2 Ba 0.0138 0.8520 0.1236
3 Ba 0.1407 0.5022 0.2921
4 Ba 0.1480 0.9862 0.3764
5 Ba 0.1749 0.8251 0.7500
6 Ba 0.3251 0.3251 0.5000
7 Ba 0.3520 0.4862 0.8736
8 Ba 0.3593 0.0022 0.9579
9 Ba 0.4862 0.3520 0.1264
10 Ba 0.4978 0.8593 0.2079
11 Ba 0.5022 0.1407 0.7079
12 Ba 0.5138 0.6480 0.6264
13 Ba 0.6407 0.9978 0.4579
14 Ba 0.6480 0.5138 0.3736
15 Ba 0.6749 0.6749 0.0000
16 Ba 0.8251 0.1749 0.2500
17 Ba 0.8520 0.0138 0.8764
18 Ba 0.8593 0.4978 0.7921
19 Ba 0.9862 0.1480 0.6236
20 Ba 0.9978 0.6407 0.5421
21 Pd 0.0596 0.7014 0.9396
22 Pd 0.1508 0.2012 0.8083
23 Pd 0.2012 0.1508 0.1917
24 Pd 0.2014 0.4404 0.6896
25 Pd 0.2988 0.6508 0.0583
26 Pd 0.2986 0.9404 0.5604
27 Pd 0.3492 0.7012 0.4417
28 Pd 0.4404 0.2014 0.3104
29 Pd 0.5596 0.7986 0.8104
30 Pd 0.6508 0.2988 0.9417
31 Pd 0.7014 0.0596 0.0604
32 Pd 0.7012 0.3492 0.5583
33 Pd 0.7986 0.5596 0.1896
34 Pd 0.7988 0.8492 0.6917
35 Pd 0.8492 0.7988 0.3083
36 Pd 0.9404 0.2986 0.4396

Main lines, sorted by position (2θ from 15° to 90°):
26.6°, rel. 30
28.5°, rel. 90
29.9°, rel. 100
31.5°, rel. 83
33.1°, rel. 85
34.8°, rel. 17
43.5°, rel. 26
47.6°, rel. 28
50.3°, rel. 23
60.4°, rel. 19